(1)
In2HRh6: calculated powder diffraction line list (Cu Kα X-rays), based on a DFT-relaxed cell (GGA-PBE, Alexandria).
Neutral-atom scattering factors, no anomalous dispersion.

Atomic structure:
```
data_In2HRh6
_cell_length_a 5.6595
_cell_length_b 5.6595
_cell_length_c 7.8963
_cell_angle_alpha 90.00
_cell_angle_beta 90.00
_cell_angle_gamma 90.00
_space_group_name_H-M_alt 'I 4/m m m'
_space_group_IT_number 139
_space_group_name_Hall '-I 4 2'
loop_
_atom_site_label
_atom_site_type_symbol
_atom_site_fract_x
_atom_site_fract_y
_atom_site_fract_z
In1 In 0.0000 0.5000 0.2500
H1 H 0.0000 0.0000 0.0000
Rh1 Rh 0.0000 0.0000 0.2534
Rh2 Rh 0.2481 0.2481 0.5000
```

Most intense lines, 10 to 80 degrees two-theta, low angle first:
2.300 Å, I = 100, (2 0 2)
2.001 Å, I = 33, (2 2 0)
1.974 Å, I = 16, (0 0 4)
1.415 Å, I = 10, (4 0 0)
1.405 Å, I = 20, (2 2 4)
1.205 Å, I = 24, (4 2 2)



(2)
InHRh3: calculated powder diffraction line list (Cu Kα X-rays), based on a DFT-relaxed cell (GGA-PBE, Alexandria).
Neutral-atom scattering factors, no anomalous dispersion.

Atomic structure:
```
data_InHRh3
_cell_length_a 10.8366
_cell_length_b 10.6117
_cell_length_c 4.9610
_cell_angle_alpha 90.00
_cell_angle_beta 101.59
_cell_angle_gamma 90.00
_space_group_name_H-M_alt 'C 1 2/c 1'
_space_group_IT_number 15
loop_
_space_group_symop_operation_xyz
'x,y,z'
'-x,-y,-z'
'-x,y,-z+1/2'
'x,-y,z+1/2'
'x+1/2,y+1/2,z'
'-x+1/2,-y+1/2,-z'
'-x+1/2,y+1/2,-z+1/2'
'x+1/2,-y+1/2,z+1/2'
loop_
_atom_site_label
_atom_site_type_symbol
_atom_site_fract_x
_atom_site_fract_y
_atom_site_fract_z
In1 In 0.0000 0.1083 0.2500
In2 In 0.0000 0.2878 0.7500
H1 H 0.1906 0.3264 0.3791
Rh1 Rh 0.1079 0.4705 0.4311
Rh2 Rh 0.1724 0.0728 0.7359
Rh3 Rh 0.2342 0.1876 0.2263
```

Most intense lines, 10 to 80 degrees two-theta, low angle first:
2.430 Å, I = 54, (0 0 2)
2.374 Å, I = 78, (4 2 0)
2.365 Å, I = 89, (3 3 -1)
2.329 Å, I = 100, (0 4 1)
2.302 Å, I = 47, (4 2 -1)
2.221 Å, I = 56, (1 1 2)
2.082 Å, I = 84, (5 1 0)
2.060 Å, I = 40, (2 4 1)
2.004 Å, I = 41, (4 0 -2)
1.996 Å, I = 43, (4 2 1)



(3)
InH3Rh3: calculated powder diffraction line list (Cu Kα X-rays), based on a DFT-relaxed cell (GGA-PBE, Alexandria).
Neutral-atom scattering factors, no anomalous dispersion.

Atomic structure:
```
data_InH3Rh3
_cell_length_a 7.7544
_cell_length_b 7.7544
_cell_length_c 2.9004
_cell_angle_alpha 90.00
_cell_angle_beta 90.00
_cell_angle_gamma 120.00
_space_group_name_H-M_alt 'P 63/m'
_space_group_IT_number 176
_space_group_name_Hall '-P 6c'
loop_
_atom_site_label
_atom_site_type_symbol
_atom_site_fract_x
_atom_site_fract_y
_atom_site_fract_z
In1 In 0.3333 0.6667 0.2500
H1 H 0.0485 0.2353 0.7500
Rh1 Rh 0.0363 0.6850 0.7500
```

Most intense lines, 10 to 80 degrees two-theta, low angle first:
6.716 Å, I = 33, (1 0 0)
2.538 Å, I = 19, (1 2 0)
2.322 Å, I = 97, (1 1 1)
2.239 Å, I = 100, (3 0 0)
2.195 Å, I = 36, (2 0 1)
1.910 Å, I = 21, (1 2 1)
1.612 Å, I = 25, (2 2 1)
1.361 Å, I = 23, (3 2 1)
1.308 Å, I = 18, (1 4 1)
1.217 Å, I = 27, (3 0 2)



(4)
InH2Rh: calculated powder diffraction line list (Cu Kα X-rays), based on a DFT-relaxed cell (GGA-PBE, Alexandria).
Neutral-atom scattering factors, no anomalous dispersion.

Atomic structure:
```
data_InH2Rh
_cell_length_a 3.1708
_cell_length_b 3.1708
_cell_length_c 9.0576
_cell_angle_alpha 90.00
_cell_angle_beta 90.00
_cell_angle_gamma 90.00
_space_group_name_H-M_alt 'I 4 m m'
_space_group_IT_number 107
_space_group_name_Hall 'I 4 -2'
loop_
_atom_site_label
_atom_site_type_symbol
_atom_site_fract_x
_atom_site_fract_y
_atom_site_fract_z
In1 In 0.0000 0.0000 0.0000
H1 H 0.0000 0.5000 0.2257
Rh1 Rh 0.0000 0.0000 0.3071
```

Most intense lines, 10 to 80 degrees two-theta, low angle first:
4.529 Å, I = 22, (0 0 2)
2.993 Å, I = 85, (1 0 1)
2.264 Å, I = 17, (0 0 4)
2.242 Å, I = 56, (1 1 0)
2.187 Å, I = 100, (1 0 3)
1.593 Å, I = 22, (1 1 4)
1.585 Å, I = 19, (2 0 0)
1.401 Å, I = 16, (2 1 1)
1.284 Å, I = 34, (2 1 3)
1.252 Å, I = 13, (1 1 6)



(5)
InSbHRh4: calculated powder diffraction line list (Cu Kα X-rays), based on a DFT-relaxed cell (GGA-PBE, Alexandria).
Neutral-atom scattering factors, no anomalous dispersion.

Atomic structure:
```
data_InSbHRh4
_cell_length_a 5.5630
_cell_length_b 13.4180
_cell_length_c 5.5954
_cell_angle_alpha 90.00
_cell_angle_beta 90.00
_cell_angle_gamma 90.00
_space_group_name_H-M_alt 'C m c m'
_space_group_IT_number 63
_space_group_name_Hall '-C 2c 2'
loop_
_atom_site_label
_atom_site_type_symbol
_atom_site_fract_x
_atom_site_fract_y
_atom_site_fract_z
In1 In 0.0000 0.1027 0.2500
Sb1 Sb 0.0000 0.3886 0.2500
H1 H 0.0000 0.2511 0.7500
Rh1 Rh 0.0000 0.0940 0.7500
Rh2 Rh 0.0000 0.4200 0.7500
Rh3 Rh 0.2500 0.2500 0.0000
```

Most intense lines, 10 to 80 degrees two-theta, low angle first:
2.798 Å, I = 18, (0 0 2)
2.781 Å, I = 18, (2 0 0)
2.582 Å, I = 66, (0 2 2)
2.569 Å, I = 65, (2 2 0)
2.236 Å, I = 53, (0 6 0)
2.149 Å, I = 88, (0 4 2)
2.141 Å, I = 87, (2 4 0)
1.973 Å, I = 100, (2 0 2)
1.479 Å, I = 55, (2 6 2)
1.399 Å, I = 16, (0 0 4)



(6)
SrInH6Ru: calculated powder diffraction line list (Cu Kα X-rays), based on a DFT-relaxed cell (GGA-PBE, Alexandria).
Neutral-atom scattering factors, no anomalous dispersion.

Atomic structure:
```
data_SrInH6Ru
_cell_length_a 4.8356
_cell_length_b 4.8356
_cell_length_c 4.7302
_cell_angle_alpha 90.00
_cell_angle_beta 90.00
_cell_angle_gamma 120.00
_space_group_name_H-M_alt 'P 3 1 2'
_space_group_IT_number 149
loop_
_space_group_symop_operation_xyz
'x,y,z'
'-y,x-y,z'
'-x+y,-x,z'
'-y,-x,-z'
'-x+y,y,-z'
'x,x-y,-z'
loop_
_atom_site_label
_atom_site_type_symbol
_atom_site_fract_x
_atom_site_fract_y
_atom_site_fract_z
Sr1 Sr 0.0000 0.0000 0.0000
In1 In 0.3333 0.6667 0.5000
H1 H 0.5169 0.0526 0.7671
Ru1 Ru 0.6667 0.3333 0.5000
```

Most intense lines, 10 to 80 degrees two-theta, low angle first:
4.730 Å, I = 20, (0 0 1)
3.136 Å, I = 100, (1 0 1)
2.418 Å, I = 58, (1 1 0)
2.365 Å, I = 17, (0 0 2)
2.153 Å, I = 15, (2 -1 1)
1.915 Å, I = 24, (2 0 1)
1.691 Å, I = 39, (1 1 2)
1.501 Å, I = 21, (3 -1 1)
1.476 Å, I = 10, (1 0 3)
1.202 Å, I = 12, (3 0 2)



(7)
In2HS2: calculated powder diffraction line list (Cu Kα X-rays), based on a DFT-relaxed cell (GGA-PBE, Alexandria).
Neutral-atom scattering factors, no anomalous dispersion.

Atomic structure:
```
data_In2HS2
_cell_length_a 3.9523
_cell_length_b 6.9134
_cell_length_c 9.3108
_cell_angle_alpha 110.72
_cell_angle_beta 101.28
_cell_angle_gamma 90.31
_space_group_name_H-M_alt 'P -1'
_space_group_IT_number 2
loop_
_space_group_symop_operation_xyz
'x,y,z'
'-x,-y,-z'
loop_
_atom_site_label
_atom_site_type_symbol
_atom_site_fract_x
_atom_site_fract_y
_atom_site_fract_z
In1 In 0.0500 0.2387 0.1182
In2 In 0.4314 0.2929 0.8542
H1 H 0.2843 0.7783 0.5597
S1 S 0.1402 0.6328 0.3031
S2 S 0.3750 0.8739 0.7231
```

Most intense lines, 10 to 80 degrees two-theta, low angle first:
8.512 Å, I = 100, (0 0 1)
3.222 Å, I = 28, (0 2 0)
3.195 Å, I = 33, (1 -1 1)
3.150 Å, I = 35, (1 1 -2)
2.707 Å, I = 25, (0 2 1)
2.682 Å, I = 19, (1 -1 2)
2.638 Å, I = 16, (1 1 -3)
2.209 Å, I = 13, (1 1 2)
2.183 Å, I = 13, (-1 1 3)
1.976 Å, I = 12, (2 0 -1)



(8)
In2H2S3: calculated powder diffraction line list (Cu Kα X-rays), based on a DFT-relaxed cell (GGA-PBE, Alexandria).
Neutral-atom scattering factors, no anomalous dispersion.

Atomic structure:
```
data_In2H2S3
_cell_length_a 3.8761
_cell_length_b 6.9944
_cell_length_c 7.1765
_cell_angle_alpha 105.90
_cell_angle_beta 102.49
_cell_angle_gamma 105.07
_space_group_name_H-M_alt 'P -1'
_space_group_IT_number 2
loop_
_space_group_symop_operation_xyz
'x,y,z'
'-x,-y,-z'
loop_
_atom_site_label
_atom_site_type_symbol
_atom_site_fract_x
_atom_site_fract_y
_atom_site_fract_z
In1 In 0.0989 0.2630 0.4295
H1 H 0.1968 0.2366 0.8775
S1 S 0.4765 0.6272 0.1168
S2 S 0.5000 0.0000 0.5000
```

Most intense lines, 10 to 80 degrees two-theta, low angle first:
6.563 Å, I = 100, (0 0 1)
3.448 Å, I = 28, (0 1 -2)
3.344 Å, I = 22, (0 2 -1)
3.281 Å, I = 19, (0 0 2)
3.163 Å, I = 20, (0 2 0)
2.962 Å, I = 40, (1 1 -1)
2.905 Å, I = 21, (1 -2 0)
2.788 Å, I = 22, (1 0 1)
2.728 Å, I = 23, (1 -2 1)
2.253 Å, I = 24, (1 -2 2)



(9)
InHS2: calculated powder diffraction line list (Cu Kα X-rays), based on a DFT-relaxed cell (GGA-PBE, Alexandria).
Neutral-atom scattering factors, no anomalous dispersion.

Atomic structure:
```
data_InHS2
_cell_length_a 3.9469
_cell_length_b 3.9474
_cell_length_c 7.3089
_cell_angle_alpha 104.73
_cell_angle_beta 91.02
_cell_angle_gamma 119.45
_space_group_name_H-M_alt 'P 1'
_space_group_IT_number 1
loop_
_space_group_symop_operation_xyz
'x,y,z'
loop_
_atom_site_label
_atom_site_type_symbol
_atom_site_fract_x
_atom_site_fract_y
_atom_site_fract_z
In1 In 0.0000 0.0000 0.0000
H1 H 0.9263 0.4231 0.3572
S1 S 0.1224 0.2179 0.3477
S2 S 0.6116 0.2292 0.8397
```

Most intense lines, 10 to 80 degrees two-theta, low angle first:
6.966 Å, I = 100, (0 0 1)
3.483 Å, I = 19, (0 0 2)
3.386 Å, I = 38, (1 0 0)
3.374 Å, I = 20, (1 -1 0)
3.274 Å, I = 54, (0 1 0)
3.222 Å, I = 25, (1 -1 1)
2.668 Å, I = 21, (1 0 -2)
2.243 Å, I = 14, (0 1 -3)
2.092 Å, I = 11, (0 1 2)
1.973 Å, I = 19, (2 -1 0)



(10)
Y4InSbH: calculated powder diffraction line list (Cu Kα X-rays), based on a DFT-relaxed cell (GGA-PBE, Alexandria).
Neutral-atom scattering factors, no anomalous dispersion.

Atomic structure:
```
data_Y4InSbH
_cell_length_a 6.4239
_cell_length_b 16.8123
_cell_length_c 6.4335
_cell_angle_alpha 90.00
_cell_angle_beta 90.00
_cell_angle_gamma 90.00
_space_group_name_H-M_alt 'C m c m'
_space_group_IT_number 63
_space_group_name_Hall '-C 2c 2'
loop_
_atom_site_label
_atom_site_type_symbol
_atom_site_fract_x
_atom_site_fract_y
_atom_site_fract_z
Y1 Y 0.0000 0.0711 0.2500
Y2 Y 0.0000 0.4267 0.2500
Y3 Y 0.2500 0.2500 0.0000
In1 In 0.0000 0.1138 0.7500
Sb1 Sb 0.0000 0.3873 0.7500
H1 H 0.0000 0.2903 0.2500
```

Most intense lines, 10 to 80 degrees two-theta, low angle first:
3.214 Å, I = 26, (2 0 0)
3.002 Å, I = 82, (2 2 0)
2.802 Å, I = 32, (0 6 0)
2.703 Å, I = 32, (1 5 1)
2.553 Å, I = 100, (2 4 0)
2.273 Å, I = 63, (2 0 2)
1.765 Å, I = 32, (2 6 2)
1.740 Å, I = 17, (3 5 1)
1.607 Å, I = 21, (4 0 0)
1.417 Å, I = 16, (4 2 2)



(11)
In3SnH4: calculated powder diffraction line list (Cu Kα X-rays), based on a DFT-relaxed cell (GGA-PBE, Alexandria).
Neutral-atom scattering factors, no anomalous dispersion.

Atomic structure:
```
data_In3SnH4
_cell_length_a 5.2164
_cell_length_b 5.3136
_cell_length_c 5.8238
_cell_angle_alpha 109.46
_cell_angle_beta 105.60
_cell_angle_gamma 108.53
_space_group_name_H-M_alt 'P -1'
_space_group_IT_number 2
loop_
_space_group_symop_operation_xyz
'x,y,z'
'-x,-y,-z'
loop_
_atom_site_label
_atom_site_type_symbol
_atom_site_fract_x
_atom_site_fract_y
_atom_site_fract_z
In1 In 0.0000 0.0000 0.0000
In2 In 0.2161 0.4132 0.7325
Sn1 Sn 0.5000 0.0000 0.5000
H1 H 0.0370 0.3285 0.3248
H2 H 0.4743 0.1969 0.2237
```

Most intense lines, 10 to 80 degrees two-theta, low angle first:
3.183 Å, I = 100, (-1 1 1)
3.074 Å, I = 81, (1 1 -1)
2.803 Å, I = 74, (1 0 1)
2.788 Å, I = 73, (0 1 -2)
2.537 Å, I = 44, (1 -2 1)
2.507 Å, I = 66, (2 -1 0)
2.239 Å, I = 22, (0 2 0)
2.185 Å, I = 37, (2 0 -2)
1.828 Å, I = 22, (1 0 -3)
1.653 Å, I = 19, (2 -2 2)



(12)
Sr4In2H: calculated powder diffraction line list (Cu Kα X-rays), based on a DFT-relaxed cell (GGA-PBE, Alexandria).
Neutral-atom scattering factors, no anomalous dispersion.

Atomic structure:
```
data_Sr4In2H
_cell_length_a 7.3528
_cell_length_b 7.6184
_cell_length_c 8.8399
_cell_angle_alpha 90.00
_cell_angle_beta 103.42
_cell_angle_gamma 90.00
_space_group_name_H-M_alt 'P 1 21/m 1'
_space_group_IT_number 11
loop_
_space_group_symop_operation_xyz
'x,y,z'
'-x,-y,-z'
'-x,y+1/2,-z'
'x,-y+1/2,z'
loop_
_atom_site_label
_atom_site_type_symbol
_atom_site_fract_x
_atom_site_fract_y
_atom_site_fract_z
Sr1 Sr 0.0462 0.0131 0.2854
Sr2 Sr 0.3442 0.7500 0.0395
Sr3 Sr 0.4359 0.7500 0.6345
In1 In 0.2044 0.2500 0.9981
In2 In 0.3012 0.2500 0.6388
H1 H 0.1792 0.7500 0.7677
```

Most intense lines, 10 to 80 degrees two-theta, low angle first:
5.214 Å, I = 29, (1 1 0)
3.360 Å, I = 100, (1 0 2)
3.130 Å, I = 66, (2 0 -2)
3.021 Å, I = 33, (1 2 1)
2.895 Å, I = 38, (2 1 -2)
2.866 Å, I = 52, (0 0 3)
2.851 Å, I = 49, (0 2 2)
2.839 Å, I = 37, (2 1 1)
2.801 Å, I = 57, (1 2 -2)
2.607 Å, I = 36, (2 2 0)



(13)
Ta3InH3: calculated powder diffraction line list (Cu Kα X-rays), based on a DFT-relaxed cell (GGA-PBE, Alexandria).
Neutral-atom scattering factors, no anomalous dispersion.

Atomic structure:
```
data_Ta3InH3
_cell_length_a 5.4904
_cell_length_b 5.4904
_cell_length_c 5.4904
_cell_angle_alpha 90.00
_cell_angle_beta 90.00
_cell_angle_gamma 90.00
_space_group_name_H-M_alt 'P m -3 n'
_space_group_IT_number 223
_space_group_name_Hall '-P 4n 2 3'
loop_
_atom_site_label
_atom_site_type_symbol
_atom_site_fract_x
_atom_site_fract_y
_atom_site_fract_z
Ta1 Ta 0.0000 0.2500 0.5000
In1 In 0.0000 0.0000 0.0000
H1 H 0.0000 0.5000 0.2500
```

Most intense lines, 10 to 80 degrees two-theta, low angle first:
3.882 Å, I = 5, (1 1 0)
2.745 Å, I = 24, (2 0 0)
2.455 Å, I = 100, (2 1 0)
2.241 Å, I = 54, (2 1 1)
1.736 Å, I = 1, (3 1 0)
1.585 Å, I = 13, (2 2 2)
1.523 Å, I = 23, (3 2 0)
1.467 Å, I = 28, (3 2 1)
1.373 Å, I = 14, (4 0 0)
1.228 Å, I = 8, (4 2 0)